# 1
Structure and simulated X-ray powder pattern of Y5Ho4Tm3 (a DFT-relaxed cell (GGA-PBE, Alexandria); Cu Kα, 1.54184 Å).
Peak positions follow from Bragg's law for the DFT cell and can differ from measured ones.

Top 10 peaks for 2θ from 10° to 90°, by angle:
| Position (°2θ) | I (rel.) |
| --- | --- |
| 31.0 | 100 |
| 35.9 | 51 |
| 51.7 | 30 |
| 61.5 | 24 |
| 61.6 | 17 |
| 64.5 | 6 |
| 64.6 | 6 |
| 84.5 | 7 |
| 87.2 | 7 |
| 87.2 | 7 |

Atomic structure:
```
Y5Ho4Tm3
1.0
6.119 0.000 0.000
0.008 7.075 0.000
0.012 0.006 8.653
Y Ho Tm
5 4 3
direct
0.000 0.000 0.000
0.331 0.500 0.666
0.500 0.250 0.000
0.500 0.750 0.000
0.669 0.500 0.334
0.166 0.250 0.333
0.334 0.000 0.665
0.666 0.000 0.335
0.834 0.750 0.667
0.000 0.500 0.000
0.166 0.751 0.333
0.834 0.249 0.667
```

=====

# 2
Structure and simulated X-ray powder pattern of Ca2Sc2Sb2As (a DFT-relaxed cell (GGA-PBE, Alexandria); Cu Kα, 1.54184 Å).
Peak positions follow from Bragg's law for the DFT cell and can differ from measured ones.

Top 10 peaks for 2θ from 10° to 90°, by angle:
| Position (°2θ) | I (rel.) |
| --- | --- |
| 11.0 | 42 |
| 24.3 | 66 |
| 25.2 | 100 |
| 33.1 | 87 |
| 33.7 | 73 |
| 35.9 | 97 |
| 43.9 | 28 |
| 49.6 | 53 |
| 49.8 | 22 |
| 51.7 | 33 |

Atomic structure:
```
Ca2Sc2Sb2As
1.0
-2.500 2.500 8.062
2.500 -2.500 8.062
2.500 2.500 -8.062
Ca Sc Sb As
2 2 2 1
direct
0.176 0.176 0.000
0.824 0.824 0.000
0.000 0.500 0.500
0.500 0.000 0.500
0.372 0.372 0.000
0.628 0.628 0.000
0.000 0.000 0.000
```

=====

# 3
Structure and simulated X-ray powder pattern of Sm2Ho4Tl (a DFT-relaxed cell (GGA-PBE, Alexandria); Cu Kα, 1.54184 Å).
Peak positions follow from Bragg's law for the DFT cell and can differ from measured ones.

Top 10 peaks for 2θ from 10° to 90°, by angle:
| Position (°2θ) | I (rel.) |
| --- | --- |
| 26.7 | 31 |
| 30.7 | 77 |
| 31.2 | 62 |
| 31.3 | 48 |
| 31.8 | 100 |
| 32.3 | 76 |
| 33.1 | 40 |
| 33.3 | 43 |
| 55.1 | 30 |
| 65.0 | 28 |

Atomic structure:
```
Sm2Ho4Tl
1.0
5.826 0.000 0.000
0.000 6.671 0.000
-2.680 0.000 11.141
Sm Ho Tl
4 8 2
direct
0.046 0.250 0.476
0.336 0.750 0.069
0.664 0.250 0.931
0.954 0.750 0.524
0.162 0.009 0.788
0.162 0.491 0.788
0.215 0.250 0.070
0.385 0.750 0.368
0.615 0.250 0.632
0.785 0.750 0.930
0.838 0.509 0.212
0.838 0.991 0.212
0.475 0.250 0.341
0.525 0.750 0.659
```

=====

# 4
Structure and simulated X-ray powder pattern of BaAlTe (a DFT-relaxed cell (GGA-PBE, Alexandria); Cu Kα, 1.54184 Å).
Peak positions follow from Bragg's law for the DFT cell and can differ from measured ones.

Top 10 peaks for 2θ from 10° to 90°, by angle:
| Position (°2θ) | I (rel.) |
| --- | --- |
| 23.5 | 32 |
| 29.9 | 12 |
| 31.7 | 100 |
| 44.1 | 16 |
| 45.4 | 14 |
| 55.3 | 8 |
| 56.4 | 12 |
| 56.5 | 19 |
| 58.8 | 11 |
| 75.1 | 8 |

Atomic structure:
```
BaAlTe
1.0
0.000 2.831 5.978
2.823 0.000 5.978
2.823 2.831 0.000
Ba Al Te
1 1 1
direct
0.000 0.000 0.000
0.703 0.703 0.297
0.299 0.299 0.701
```

=====

# 5
Structure and simulated X-ray powder pattern of NaLaSO (a DFT-relaxed cell (GGA-PBE, Alexandria); Cu Kα, 1.54184 Å).
Peak positions follow from Bragg's law for the DFT cell and can differ from measured ones.

Top 10 peaks for 2θ from 10° to 90°, by angle:
| Position (°2θ) | I (rel.) |
| --- | --- |
| 14.1 | 79 |
| 26.5 | 50 |
| 27.8 | 45 |
| 28.4 | 19 |
| 32.4 | 100 |
| 35.4 | 25 |
| 46.0 | 38 |
| 46.8 | 29 |
| 48.4 | 21 |
| 54.9 | 18 |

Atomic structure:
```
NaLaSO
1.0
1.973 1.139 6.290
-1.973 1.139 6.290
0.000 -2.278 6.290
Na La S O
1 1 1 1
direct
0.000 0.000 0.000
0.509 0.509 0.509
0.746 0.746 0.746
0.222 0.222 0.222
```

=====

# 6
Structure and simulated X-ray powder pattern of LaPd4S2 (a DFT-relaxed cell (GGA-PBE, Alexandria); Cu Kα, 1.54184 Å).
Peak positions follow from Bragg's law for the DFT cell and can differ from measured ones.

Top 10 peaks for 2θ from 10° to 90°, by angle:
| Position (°2θ) | I (rel.) |
| --- | --- |
| 27.5 | 22 |
| 34.2 | 100 |
| 36.8 | 60 |
| 39.8 | 61 |
| 43.3 | 43 |
| 44.9 | 31 |
| 48.6 | 18 |
| 59.4 | 30 |
| 64.5 | 31 |
| 88.2 | 13 |

Atomic structure:
```
LaPd4S2
1.0
7.730 0.000 0.000
0.000 7.730 0.000
0.000 0.000 4.035
La Pd S
2 8 4
direct
0.000 0.000 0.000
0.500 0.500 0.500
0.093 0.340 0.500
0.160 0.593 0.000
0.340 0.093 0.500
0.407 0.840 0.000
0.593 0.160 0.000
0.660 0.907 0.500
0.840 0.407 0.000
0.907 0.660 0.500
0.219 0.781 0.500
0.281 0.281 0.000
0.719 0.719 0.000
0.781 0.219 0.500
```

=====

# 7
Structure and simulated X-ray powder pattern of Mn3SbPd4 (a DFT-relaxed cell (GGA-PBE, Alexandria); Cu Kα, 1.54184 Å).
Peak positions follow from Bragg's law for the DFT cell and can differ from measured ones.

Top 10 peaks for 2θ from 10° to 90°, by angle:
| Position (°2θ) | I (rel.) |
| --- | --- |
| 19.7 | 5 |
| 28.0 | 5 |
| 34.5 | 2 |
| 40.0 | 100 |
| 49.5 | 2 |
| 53.8 | 1 |
| 57.9 | 16 |
| 65.5 | 2 |
| 72.7 | 32 |
| 86.3 | 10 |

Atomic structure:
```
Mn3SbPd4
1.0
-3.188 3.188 3.188
3.188 -3.188 3.188
3.188 3.188 -3.188
Mn Sb Pd
3 1 4
direct
0.000 0.500 0.500
0.500 0.000 0.500
0.500 0.500 0.000
0.000 0.000 0.000
0.000 0.000 0.500
0.000 0.500 0.000
0.500 0.000 0.000
0.500 0.500 0.500
```

=====

# 8
Structure and simulated X-ray powder pattern of Li4Cu3Cl12 (a DFT-relaxed cell (GGA-PBE, Alexandria); Cu Kα, 1.54184 Å).
Peak positions follow from Bragg's law for the DFT cell and can differ from measured ones.

Top 10 peaks for 2θ from 10° to 90°, by angle:
| Position (°2θ) | I (rel.) |
| --- | --- |
| 13.3 | 78 |
| 18.9 | 57 |
| 23.1 | 54 |
| 30.0 | 100 |
| 33.0 | 50 |
| 35.7 | 32 |
| 40.7 | 28 |
| 47.3 | 64 |
| 57.0 | 30 |
| 58.9 | 48 |

Atomic structure:
```
Li4Cu3Cl12
1.0
-4.707 4.707 4.707
4.707 -4.707 4.707
4.707 4.707 -4.707
Li Cu Cl
4 3 12
direct
0.000 0.000 0.500
0.000 0.500 0.000
0.500 0.000 0.000
0.500 0.500 0.500
0.000 0.500 0.500
0.500 0.000 0.500
0.500 0.500 0.000
0.164 0.494 0.329
0.164 0.835 0.671
0.165 0.329 0.836
0.329 0.164 0.494
0.329 0.836 0.165
0.494 0.329 0.164
0.506 0.671 0.836
0.671 0.164 0.835
0.671 0.836 0.506
0.835 0.671 0.164
0.836 0.165 0.329
0.836 0.506 0.671
```